Diffraction record for Pr3Sb4Au3. The powder diffraction line list is computed, not measured: it uses the GGA-PBE geometry in the Materials Project and Cu Ka.

Atomic structure:
```
Pr3Sb4Au3
1.0
-5.079 5.079 5.079
5.079 -5.079 5.079
5.079 5.079 -5.079
Pr Sb Au
6 8 6
Direct
0.125 0.750 0.875
0.250 0.625 0.375
0.375 0.250 0.625
0.625 0.375 0.250
0.750 0.875 0.125
0.875 0.125 0.750
0.000 0.325 0.500
0.000 0.825 0.500
0.175 0.175 0.175
0.325 0.500 0.000
0.500 0.000 0.325
0.500 0.000 0.825
0.675 0.675 0.675
0.825 0.500 0.000
0.125 0.875 0.250
0.250 0.125 0.875
0.375 0.625 0.750
0.625 0.750 0.375
0.750 0.375 0.625
0.875 0.250 0.125
```

Peak list (8 most intense, 10° ≤ 2θ ≤ 90°, sorted by position)
d 4.147, I 25.8
d 2.715, I 100.0
d 2.271, I 48.0
d 2.073, I 13.9
d 1.992, I 14.2
d 1.855, I 15.7
d 1.466, I 11.5
d 1.382, I 13.0